[1]
Computed powder diffraction line list
Compound: Hg2TePb
Radiation: λ = 1.5418 Å (Cu Kα)
Structure: a crystal structure in Alexandria, relaxed with PBE
No peak broadening, texture or thermal motion is included.

Top 8 peaks for 10 to 90 degrees two-theta, most intense first:
two_theta  I/Imax
32.04  100
32.74  95
33.33  45
34.17  43
48.48  32
44.38  21
57.17  20
58.32  19

Structure:
Unit cell a=3.327 b=5.249 c=6.764 alpha=90.00 beta=102.70 gamma=90.00
Element x y z (fractional)
Hg: 0.247 0.000 0.255
Hg: 0.753 0.000 0.745
Te: 0.500 0.500 0.000
Pb: 0.000 0.500 0.500

[2]
Computed powder diffraction line list
Compound: Th5Hg3Pb3
Radiation: λ = 1.5418 Å (Cu Kα)
Structure: a crystal structure in Alexandria, relaxed with PBE
No peak broadening, texture or thermal motion is included.

Top 8 peaks for 10 to 90 degrees two-theta, most intense first:
two_theta  I/Imax
30.85  100
28.64  94
42.60  77
34.59  75
36.47  65
65.80  33
50.13  30
25.93  30

Structure:
Unit cell a=10.797 b=10.797 c=3.436 alpha=90.00 beta=90.00 gamma=120.00
Element x y z (fractional)
Th: 0.000 0.344 0.000
Th: 0.333 0.667 0.000
Th: 0.344 0.000 0.000
Th: 0.656 0.656 0.000
Th: 0.667 0.333 0.000
Hg: 0.000 0.844 0.000
Hg: 0.156 0.156 0.000
Hg: 0.844 0.000 0.000
Pb: 0.000 0.606 0.500
Pb: 0.394 0.394 0.500
Pb: 0.606 0.000 0.500

[3]
Computed powder diffraction line list
Compound: Th5HgPb
Radiation: λ = 1.5418 Å (Cu Kα)
Structure: a crystal structure in Alexandria, relaxed with PBE
No peak broadening, texture or thermal motion is included.

Top 8 peaks for 10 to 90 degrees two-theta, most intense first:
two_theta  I/Imax
32.73  100
34.80  64
33.62  36
30.16  35
34.53  35
53.79  21
35.60  20
23.62  19

Structure:
Unit cell a=8.147 b=8.147 c=8.273 alpha=110.83 beta=110.83 gamma=71.89
Element x y z (fractional)
Th: 0.083 0.917 0.750
Th: 0.145 0.302 0.078
Th: 0.197 0.697 0.376
Th: 0.302 0.145 0.578
Th: 0.303 0.803 0.124
Th: 0.697 0.197 0.876
Th: 0.698 0.855 0.422
Th: 0.803 0.303 0.624
Th: 0.855 0.698 0.922
Th: 0.917 0.083 0.250
Hg: 0.000 0.500 0.500
Hg: 0.500 0.000 0.000
Pb: 0.439 0.561 0.750
Pb: 0.561 0.439 0.250

[4]
Computed powder diffraction line list
Compound: Ti4HgPb
Radiation: λ = 1.5418 Å (Cu Kα)
Structure: a crystal structure in Alexandria, relaxed with PBE
No peak broadening, texture or thermal motion is included.

Top 8 peaks for 10 to 90 degrees two-theta, most intense first:
two_theta  I/Imax
38.34  100
27.83  66
37.47  54
18.20  36
68.17  36
41.95  20
54.02  18
69.90  16

Structure:
Unit cell a=5.434 b=5.434 c=4.802 alpha=90.00 beta=90.00 gamma=127.58
Element x y z (fractional)
Ti: 0.174 0.826 0.000
Ti: 0.325 0.675 0.500
Ti: 0.675 0.325 0.500
Ti: 0.826 0.174 0.000
Hg: 0.000 0.000 0.500
Pb: 0.500 0.500 0.000

[5]
Computed powder diffraction line list
Compound: Tl4Hg4Pb5
Radiation: λ = 1.5418 Å (Cu Kα)
Structure: a crystal structure in Alexandria, relaxed with PBE
No peak broadening, texture or thermal motion is included.

Top 8 peaks for 10 to 90 degrees two-theta, most intense first:
two_theta  I/Imax
31.51  100
37.18  23
35.25  22
52.17  17
60.94  16
34.79  11
63.51  9
32.47  6

Structure:
Unit cell a=9.083 b=9.083 c=9.083 alpha=94.51 beta=94.51 gamma=147.45
Element x y z (fractional)
Tl: 0.101 0.390 0.491
Tl: 0.390 0.899 0.289
Tl: 0.610 0.101 0.711
Tl: 0.899 0.610 0.509
Hg: 0.126 0.765 0.891
Hg: 0.235 0.126 0.360
Hg: 0.765 0.874 0.640
Hg: 0.874 0.235 0.109
Pb: 0.000 0.000 0.000
Pb: 0.317 0.579 0.897
Pb: 0.421 0.317 0.738
Pb: 0.579 0.683 0.262
Pb: 0.683 0.421 0.103

[6]
Computed powder diffraction line list
Compound: Tl2Hg3Pb6
Radiation: λ = 1.5418 Å (Cu Kα)
Structure: a crystal structure in Alexandria, relaxed with PBE
No peak broadening, texture or thermal motion is included.

Top 8 peaks for 10 to 90 degrees two-theta, most intense first:
two_theta  I/Imax
32.28  100
34.50  71
32.09  58
31.54  51
32.65  43
31.34  34
31.20  28
36.20  25

Structure:
Unit cell a=5.200 b=8.703 c=8.929 alpha=118.38 beta=106.19 gamma=90.22
Element x y z (fractional)
Tl: 0.000 0.000 0.000
Tl: 0.273 0.292 0.563
Hg: 0.424 0.731 0.852
Hg: 0.637 0.155 0.283
Hg: 0.837 0.135 0.692
Pb: 0.130 0.457 0.270
Pb: 0.279 0.887 0.583
Pb: 0.487 0.305 0.982
Pb: 0.623 0.770 0.262
Pb: 0.772 0.602 0.559
Pb: 0.971 0.561 0.943

[7]
Computed powder diffraction line list
Compound: Tl7HgPb5
Radiation: λ = 1.5418 Å (Cu Kα)
Structure: a crystal structure in Alexandria, relaxed with PBE
No peak broadening, texture or thermal motion is included.

Top 8 peaks for 10 to 90 degrees two-theta, most intense first:
two_theta  I/Imax
31.16  100
33.17  94
29.81  81
32.36  58
30.49  56
32.57  55
33.60  51
32.98  46

Structure:
Unit cell a=8.702 b=8.702 c=6.423 alpha=110.70 beta=110.70 gamma=94.95
Element x y z (fractional)
Tl: 0.000 0.000 0.000
Tl: 0.183 0.458 0.065
Tl: 0.458 0.183 0.065
Tl: 0.547 0.547 0.047
Tl: 0.642 0.642 0.622
Tl: 0.688 0.948 0.202
Tl: 0.948 0.688 0.202
Hg: 0.324 0.324 0.488
Pb: 0.089 0.089 0.603
Pb: 0.251 0.741 0.759
Pb: 0.382 0.913 0.410
Pb: 0.741 0.251 0.759
Pb: 0.913 0.382 0.410

[8]
Computed powder diffraction line list
Compound: Tl6HgPb3
Radiation: λ = 1.5418 Å (Cu Kα)
Structure: a crystal structure in Alexandria, relaxed with PBE
No peak broadening, texture or thermal motion is included.

Top 8 peaks for 10 to 90 degrees two-theta, most intense first:
two_theta  I/Imax
34.28  100
30.30  84
27.30  28
51.14  27
47.33  25
64.54  24
58.93  15
63.02  14

Structure:
Unit cell a=6.187 b=6.187 c=9.801 alpha=90.00 beta=90.00 gamma=120.00
Element x y z (fractional)
Tl: 0.000 0.374 0.297
Tl: 0.000 0.626 0.703
Tl: 0.374 0.000 0.297
Tl: 0.374 0.374 0.703
Tl: 0.626 0.000 0.703
Tl: 0.626 0.626 0.297
Hg: 0.000 0.000 0.500
Pb: 0.000 0.000 0.000
Pb: 0.333 0.667 0.000
Pb: 0.667 0.333 0.000

[9]
Computed powder diffraction line list
Compound: TlHg2Pb6
Radiation: λ = 1.5418 Å (Cu Kα)
Structure: a crystal structure in Alexandria, relaxed with PBE
No peak broadening, texture or thermal motion is included.

Top 8 peaks for 10 to 90 degrees two-theta, most intense first:
two_theta  I/Imax
34.38  100
32.90  85
29.42  67
53.45  57
30.10  51
62.20  50
42.59  39
56.42  30

Structure:
Unit cell a=3.428 b=3.428 c=27.325 alpha=90.00 beta=90.00 gamma=120.00
Element x y z (fractional)
Tl: 0.000 0.000 0.000
Hg: 0.333 0.667 0.331
Hg: 0.333 0.667 0.669
Pb: 0.000 0.000 0.224
Pb: 0.000 0.000 0.437
Pb: 0.000 0.000 0.563
Pb: 0.000 0.000 0.776
Pb: 0.333 0.667 0.113
Pb: 0.333 0.667 0.887

[10]
Computed powder diffraction line list
Compound: Tl3Hg7Pb2
Radiation: λ = 1.5418 Å (Cu Kα)
Structure: a crystal structure in Alexandria, relaxed with PBE
No peak broadening, texture or thermal motion is included.

Top 8 peaks for 10 to 90 degrees two-theta, most intense first:
two_theta  I/Imax
30.44  100
30.89  94
31.88  86
37.14  59
33.79  51
38.88  51
34.41  40
63.37  34

Structure:
Unit cell a=5.920 b=3.388 c=17.638 alpha=90.00 beta=92.55 gamma=90.00
Element x y z (fractional)
Tl: 0.000 0.000 0.000
Tl: 0.312 0.500 0.342
Tl: 0.688 0.500 0.658
Hg: 0.111 0.500 0.845
Hg: 0.250 0.000 0.508
Hg: 0.382 0.000 0.166
Hg: 0.500 0.500 0.000
Hg: 0.618 0.000 0.834
Hg: 0.750 0.000 0.492
Hg: 0.889 0.500 0.155
Pb: 0.189 0.000 0.684
Pb: 0.811 0.000 0.316

[11]
Computed powder diffraction line list
Compound: Tl2Hg5Pb4
Radiation: λ = 1.5418 Å (Cu Kα)
Structure: a crystal structure in Alexandria, relaxed with PBE
No peak broadening, texture or thermal motion is included.

Top 8 peaks for 10 to 90 degrees two-theta, most intense first:
two_theta  I/Imax
31.64  100
31.85  85
33.41  71
29.30  67
35.68  67
35.49  61
65.06  40
54.04  30

Structure:
Unit cell a=11.710 b=11.710 c=8.494 alpha=96.82 beta=96.82 gamma=16.32
Element x y z (fractional)
Tl: 0.091 0.091 0.211
Tl: 0.909 0.909 0.789
Hg: 0.000 0.000 0.500
Hg: 0.317 0.317 0.039
Hg: 0.370 0.370 0.435
Hg: 0.630 0.630 0.565
Hg: 0.683 0.683 0.961
Pb: 0.236 0.236 0.319
Pb: 0.456 0.456 0.154
Pb: 0.544 0.544 0.846
Pb: 0.764 0.764 0.681

[12]
Computed powder diffraction line list
Compound: TlHg2Pb6
Radiation: λ = 1.5418 Å (Cu Kα)
Structure: a crystal structure in Alexandria, relaxed with PBE
No peak broadening, texture or thermal motion is included.

Top 8 peaks for 10 to 90 degrees two-theta, most intense first:
two_theta  I/Imax
31.09  100
36.72  43
32.05  31
35.56  23
62.64  19
51.40  17
52.68  15
64.82  13

Structure:
Unit cell a=7.910 b=7.910 c=10.276 alpha=100.71 beta=100.71 gamma=25.57
Element x y z (fractional)
Tl: 0.000 0.000 0.000
Hg: 0.334 0.334 0.780
Hg: 0.666 0.666 0.220
Pb: 0.005 0.005 0.335
Pb: 0.331 0.331 0.112
Pb: 0.333 0.333 0.444
Pb: 0.667 0.667 0.556
Pb: 0.669 0.669 0.888
Pb: 0.995 0.995 0.665

[13]
Computed powder diffraction line list
Compound: Tl3HgPb2
Radiation: λ = 1.5418 Å (Cu Kα)
Structure: a crystal structure in Alexandria, relaxed with PBE
No peak broadening, texture or thermal motion is included.

Top 8 peaks for 10 to 90 degrees two-theta, most intense first:
two_theta  I/Imax
31.95  100
32.46  96
32.02  51
32.68  46
56.70  20
57.68  19
45.97  19
57.54  18

Structure:
Unit cell a=5.591 b=6.494 c=10.962 alpha=89.94 beta=89.83 gamma=65.79
Element x y z (fractional)
Tl: 0.001 0.000 0.270
Tl: 0.329 0.336 0.750
Tl: 0.332 0.336 0.249
Tl: 0.668 0.664 0.751
Tl: 0.671 0.664 0.250
Tl: 0.999 0.000 0.730
Hg: 0.176 0.646 0.500
Hg: 0.824 0.354 0.500
Pb: 0.159 0.677 0.000
Pb: 0.500 0.000 0.000
Pb: 0.500 0.000 0.500
Pb: 0.841 0.323 0.000

[14]
Computed powder diffraction line list
Compound: TlHg2Pb8
Radiation: λ = 1.5418 Å (Cu Kα)
Structure: a crystal structure in Alexandria, relaxed with PBE
No peak broadening, texture or thermal motion is included.

Top 8 peaks for 10 to 90 degrees two-theta, most intense first:
two_theta  I/Imax
31.43  100
36.39  67
31.72  48
32.01  46
52.94  33
37.34  31
53.32  21
63.68  18

Structure:
Unit cell a=3.528 b=9.105 c=11.805 alpha=71.69 beta=89.93 gamma=78.86
Element x y z (fractional)
Tl: 0.000 0.000 0.000
Hg: 0.172 0.675 0.716
Hg: 0.334 0.331 0.473
Pb: 0.007 0.999 0.473
Pb: 0.187 0.644 0.227
Pb: 0.328 0.347 0.966
Pb: 0.503 0.008 0.719
Pb: 0.671 0.672 0.964
Pb: 0.673 0.667 0.472
Pb: 0.832 0.346 0.715
Pb: 0.845 0.320 0.225